This entry pairs a crystal structure of InCuSe2 with its theoretical X-ray powder pattern. Radiation: Cu Kα (λ = 1.5418 Å). Structure: a GGA-PBE-relaxed structure.
No peak broadening, texture or thermal motion is included.

Most intense lines, 15° ≤ 2θ ≤ 90°, low angle first:
d 2.779, intensity 100, hkl 2 0 0
d 2.724, intensity 46, hkl 0 0 4
d 1.965, intensity 36, hkl 2 2 0
d 1.945, intensity 67, hkl 2 0 4
d 1.594, intensity 35, hkl 2 2 4
d 1.131, intensity 22, hkl 4 2 4

Structure:
```
InCuSe2
1.0
5.5577 0.0000 0.0000
0.0000 5.5577 0.0000
0.0000 0.0000 10.8958
In Cu Se
4 4 8
Direct
0.0000 0.2500 0.3750
0.0000 0.7500 0.6250
0.5000 0.2500 0.1250
0.5000 0.7500 0.8750
0.0000 0.2500 0.8750
0.0000 0.7500 0.1250
0.5000 0.2500 0.6250
0.5000 0.7500 0.3750
0.0000 0.2500 0.1141
0.0000 0.2500 0.6359
0.0000 0.7500 0.3641
0.0000 0.7500 0.8859
0.5000 0.2500 0.3859
0.5000 0.2500 0.8641
0.5000 0.7500 0.1359
0.5000 0.7500 0.6141
```